# RbNdMo2O8
Theoretical X-ray diffraction stick pattern, CuKα. Input: a crystal structure in Alexandria, relaxed with GGA+U.
No peak broadening, texture or thermal motion is included.

Structural model:
```
data_RbNdMo2O8
_cell_length_a 5.2408
_cell_length_b 19.5523
_cell_length_c 8.3787
_cell_angle_alpha 90.00
_cell_angle_beta 90.00
_cell_angle_gamma 90.00
_space_group_name_H-M_alt 'P b c n'
_space_group_IT_number 60
_space_group_name_Hall '-P 2n 2ab'
loop_
_atom_site_label
_atom_site_type_symbol
_atom_site_fract_x
_atom_site_fract_y
_atom_site_fract_z
_atom_site_occupancy
Rb1 Rb 0.0000 0.2274 0.2500 1
Nd1 Nd 0.0000 0.0053 0.7500 1
Mo1 Mo 0.0209 0.4005 0.5121 1
O1 O 0.0976 0.3165 0.9800 1
O2 O 0.2243 0.4045 0.3397 1
O3 O 0.2360 0.4103 0.6803 1
O4 O 0.2484 0.4624 0.0014 1
```

Largest 10 diffraction maxima, low angle first, 2θ from 10° to 90°:
index	Position (°2θ)	d/Å	intensity
1 3 0	21.8	4.084	33.7
1 3 1	24.2	3.671	14.8
1 1 2	27.6	3.227	100.0
0 4 2	28.1	3.181	50.8
1 5 0	28.5	3.134	64.1
2 0 0	34.2	2.622	18.1
0 0 4	43.2	2.095	14.5
2 4 2	44.8	2.023	42.4
1 9 2	50.4	1.810	23.0
1 5 4	52.5	1.742	21.0